Entry 1:
Computed X-ray powder pattern of Na3CoO3 for λ = 1.5418 Å (Cu Kα), from a PBE+U-relaxed structure.
Peak positions follow from Bragg's law for the DFT cell and can differ from measured ones.

Main lines, by intensity (10 to 90 degrees two-theta):
2θ 15.34, 5.775 Å, I 100.0
2θ 21.49, 4.135 Å, I 94.6
2θ 36.63, 2.453 Å, I 83.7
2θ 35.07, 2.559 Å, I 81.5
2θ 43.58, 2.077 Å, I 75.3
2θ 37.11, 2.422 Å, I 73.5

Cell and atoms:
```
Na3CoO3
1.0
5.788 0.000 0.000
0.484 5.923 0.000
0.081 2.754 5.782
Na Co O
6 2 6
direct
0.063 0.244 0.256
0.356 0.734 0.022
0.437 0.731 0.555
0.563 0.269 0.445
0.644 0.266 0.978
0.937 0.756 0.744
0.141 0.310 0.688
0.859 0.690 0.312
0.191 0.577 0.374
0.243 0.030 0.656
0.254 0.402 0.900
0.746 0.598 0.100
0.757 0.970 0.344
0.809 0.423 0.626
```

=====

Entry 2:
Computed X-ray powder pattern of La2GaCoO6 for λ = 1.5418 Å (Cu Kα), from a PBE+U-relaxed structure.
Peak positions follow from Bragg's law for the DFT cell and can differ from measured ones.

Main lines, by intensity (10 to 90 degrees two-theta):
2θ 32.28, 2.773 Å, I 100.0
2θ 32.42, 2.761 Å, I 99.2
2θ 31.73, 2.820 Å, I 98.5
2θ 32.67, 2.741 Å, I 96.1
2θ 31.92, 2.804 Å, I 95.9
2θ 32.03, 2.794 Å, I 94.3

Cell and atoms:
```
La2GaCoO6
1.0
5.589 0.000 0.000
-2.763 4.881 0.000
-2.512 -1.640 17.870
La Ga Co O
8 4 4 24
direct
0.000 0.000 0.000
0.000 0.494 0.500
0.251 0.633 0.875
0.252 0.126 0.375
0.501 0.750 0.250
0.504 0.258 0.750
0.747 0.869 0.625
0.751 0.376 0.125
0.376 0.688 0.063
0.377 0.185 0.563
0.873 0.941 0.813
0.877 0.438 0.313
0.125 0.563 0.688
0.126 0.063 0.188
0.625 0.316 0.937
0.626 0.811 0.438
0.008 0.070 0.501
0.010 0.578 0.000
0.074 0.266 0.751
0.074 0.748 0.252
0.178 0.860 0.624
0.179 0.378 0.123
0.241 0.055 0.875
0.243 0.548 0.375
0.315 0.948 0.126
0.327 0.439 0.627
0.434 0.924 0.499
0.437 0.427 0.000
0.507 0.834 0.750
0.511 0.328 0.250
0.570 0.996 0.001
0.572 0.492 0.500
0.678 0.634 0.875
0.682 0.131 0.375
0.743 0.799 0.125
0.744 0.293 0.625
0.816 0.203 0.876
0.817 0.700 0.376
0.923 0.688 0.748
0.936 0.177 0.249
```

=====

Entry 3:
Computed X-ray powder pattern of MgV2CoO6 for λ = 1.5418 Å (Cu Kα), from a PBE+U-relaxed structure.
Peak positions follow from Bragg's law for the DFT cell and can differ from measured ones.

Main lines, by intensity (10 to 90 degrees two-theta):
2θ 16.65, 5.325 Å, I 100.0
2θ 21.29, 4.174 Å, I 79.3
2θ 27.51, 3.242 Å, I 63.9
2θ 21.53, 4.128 Å, I 52.8
2θ 26.91, 3.313 Å, I 48.7
2θ 45.26, 2.004 Å, I 45.8

Cell and atoms:
```
MgV2CoO6
1.0
4.008 0.000 0.000
-1.867 5.326 0.000
-0.019 -0.076 6.625
Mg V Co O
1 2 1 6
direct
0.000 0.000 0.000
0.338 0.652 0.171
0.837 0.647 0.508
0.491 0.004 0.681
0.193 0.354 0.082
0.367 0.709 0.465
0.467 0.922 0.989
0.703 0.346 0.587
0.870 0.718 0.217
0.964 0.918 0.695
```

=====

Entry 4:
Computed X-ray powder pattern of K4MgV6O16 for λ = 1.5418 Å (Cu Kα), from a PBE+U-relaxed structure.
Peak positions follow from Bragg's law for the DFT cell and can differ from measured ones.

Main lines, by intensity (10 to 90 degrees two-theta):
2θ 28.20, 3.165 Å, I 100.0
2θ 26.96, 3.308 Å, I 91.8
2θ 16.43, 5.394 Å, I 90.9
2θ 27.52, 3.241 Å, I 84.0
2θ 33.22, 2.697 Å, I 63.6
2θ 25.34, 3.515 Å, I 48.4

Cell and atoms:
```
K4MgV6O16
1.0
5.396 0.000 0.000
-0.199 9.115 0.000
-0.128 -0.565 9.132
K Mg V O
4 1 6 16
direct
0.000 0.000 0.000
0.009 0.054 0.560
0.958 0.660 0.329
0.976 0.456 0.854
0.012 0.263 0.302
0.478 0.691 0.008
0.498 0.792 0.636
0.529 0.412 0.499
0.533 0.172 0.781
0.533 0.329 0.132
0.541 0.959 0.292
0.169 0.696 0.023
0.192 0.794 0.616
0.202 0.299 0.133
0.225 0.185 0.791
0.225 0.346 0.467
0.239 0.004 0.293
0.571 0.722 0.831
0.590 0.522 0.052
0.597 0.599 0.558
0.610 0.989 0.730
0.615 0.832 0.138
0.625 0.873 0.451
0.655 0.289 0.646
0.665 0.223 0.955
0.707 0.393 0.322
0.729 0.111 0.267
```

=====

Entry 5:
Computed X-ray powder pattern of Li9Mn2Co5O16 for λ = 1.5418 Å (Cu Kα), from a PBE+U-relaxed structure.
Peak positions follow from Bragg's law for the DFT cell and can differ from measured ones.

Main lines, by intensity (10 to 90 degrees two-theta):
2θ 18.35, 4.834 Å, I 100.0
2θ 43.65, 2.074 Å, I 57.9
2θ 42.73, 2.116 Å, I 31.2
2θ 35.97, 2.497 Å, I 27.5
2θ 35.18, 2.551 Å, I 16.9
2θ 62.61, 1.484 Å, I 16.8

Cell and atoms:
```
Li9Mn2Co5O16
1.0
2.587 -1.456 0.000
2.587 1.456 0.000
-1.320 0.000 38.669
Li Mn Co O
9 2 5 16
direct
0.000 0.000 0.000
0.124 0.124 0.374
0.244 0.244 0.745
0.374 0.374 0.125
0.501 0.501 0.502
0.563 0.563 0.687
0.625 0.625 0.876
0.749 0.749 0.250
0.877 0.877 0.627
0.812 0.812 0.437
0.935 0.935 0.813
0.062 0.062 0.187
0.190 0.190 0.563
0.311 0.311 0.938
0.437 0.437 0.312
0.687 0.687 0.062
0.031 0.031 0.091
0.089 0.089 0.283
0.179 0.179 0.466
0.218 0.218 0.657
0.301 0.301 0.842
0.340 0.340 0.032
0.409 0.409 0.216
0.444 0.444 0.408
0.529 0.529 0.591
0.573 0.573 0.785
0.634 0.634 0.965
0.714 0.714 0.159
0.783 0.783 0.341
0.843 0.843 0.533
0.906 0.906 0.718
0.989 0.989 0.910
```